1.
This entry pairs a crystal structure of AcMg3Pb3 with its theoretical X-ray diffraction stick pattern. Radiation: Cu Kα (weighted mean of Kα1 and Kα2). Structure: the PBE geometry in Alexandria.

Peak list (10 most intense, 2θ from 5° to 70°, in order of rising 2θ)
10.7 deg, I 466
25.5 deg, I 666
27.7 deg, I 378
28.6 deg, I 400
32.5 deg, I 223
33.6 deg, I 1000
35.1 deg, I 278
45.9 deg, I 227
51.4 deg, I 200
62.1 deg, I 329

Structure:
```
data_AcMg3Pb3
_chemical_formula_sum 'Ac2 Mg6 Pb6'
_cell_length_a 9.5488
_cell_length_b 9.5488
_cell_length_c 5.1125
_cell_angle_alpha 90.00
_cell_angle_beta 90.00
_cell_angle_gamma 120.00
_symmetry_space_group_name_H-M 'P 63/m'
_symmetry_Int_Tables_number 176
_symmetry_space_group_name_Hall '-P 6c'
loop_
_atom_site_label
_atom_site_fract_x
_atom_site_fract_y
_atom_site_fract_z
Ac1 0.3333 0.6667 0.2500
Mg1 0.0387 0.2168 0.2500
Pb1 0.0752 0.4180 0.7500
```



2.
This entry pairs a crystal structure of AcMg4Pb8 with its theoretical X-ray diffraction stick pattern. Radiation: Cu Kα (weighted mean of Kα1 and Kα2). Structure: the PBE geometry in Alexandria.

Peak list (10 most intense, 2θ from 5° to 70°, in order of rising 2θ)
16.0 deg, I 188
22.8 deg, I 248
28.2 deg, I 469
28.8 deg, I 436
32.4 deg, I 248
32.6 deg, I 1000
36.5 deg, I 254
37.0 deg, I 249
53.4 deg, I 255
57.9 deg, I 291

Structure:
```
data_AcMg4Pb8
_chemical_formula_sum 'Ac2 Mg8 Pb16'
_cell_length_a 11.0505
_cell_length_b 11.0505
_cell_length_c 6.2057
_cell_angle_alpha 90.00
_cell_angle_beta 90.00
_cell_angle_gamma 90.00
_symmetry_space_group_name_H-M 'I 4/m m m'
_symmetry_Int_Tables_number 139
_symmetry_space_group_name_Hall '-I 4 2'
loop_
_atom_site_label
_atom_site_fract_x
_atom_site_fract_y
_atom_site_fract_z
Ac1 0.0000 0.0000 0.0000
Mg1 0.2500 0.2500 0.2500
Pb1 0.0000 0.2125 0.5000
Pb2 0.0000 0.3448 0.0000
```



3.
This entry pairs a crystal structure of Ac6MgPb2 with its theoretical X-ray diffraction stick pattern. Radiation: Cu Kα (weighted mean of Kα1 and Kα2). Structure: the PBE geometry in Alexandria.

Peak list (10 most intense, 2θ from 5° to 70°, in order of rising 2θ)
19.2 deg, I 107
22.1 deg, I 456
31.3 deg, I 254
31.5 deg, I 1000
31.6 deg, I 248
45.1 deg, I 191
50.8 deg, I 105
55.8 deg, I 205
56.2 deg, I 301
65.7 deg, I 126

Structure:
```
data_Ac6MgPb2
_chemical_formula_sum 'Ac12 Mg2 Pb4'
_cell_length_a 17.9249
_cell_length_b 8.0274
_cell_length_c 5.7165
_cell_angle_alpha 90.00
_cell_angle_beta 108.50
_cell_angle_gamma 90.00
_symmetry_space_group_name_H-M 'C 1 2/m 1'
_symmetry_Int_Tables_number 12
loop_
_symmetry_equiv_pos_as_xyz
'x,y,z'
'-x,-y,-z'
'-x,y,-z'
'x,-y,z'
'x+1/2,y+1/2,z'
'-x+1/2,-y+1/2,-z'
'-x+1/2,y+1/2,-z'
'x+1/2,-y+1/2,z'
loop_
_atom_site_label
_atom_site_fract_x
_atom_site_fract_y
_atom_site_fract_z
Ac1 0.0000 0.2445 0.0000
Ac2 0.1654 0.2493 0.6659
Mg1 0.0000 0.0000 0.5000
Pb1 0.1669 0.5000 0.1676
```